Starting from the PBE+U geometry in the Materials Project, the powder diffraction line list of MgFe4Cu2O8 was calculated for Cu Kα (weighted mean of Kα1 and Kα2).
Neutral-atom scattering factors, no anomalous dispersion.

Crystal structure
```
MgFe4Cu2O8
1.0
5.1447 -2.9955 0.0000
5.1447 2.9955 0.0000
-2.8161 0.0000 5.3170
Mg Fe Cu O
1 4 2 8
direct
0.0000 0.0000 0.0000
0.0000 0.5000 0.0000
0.1299 0.1299 0.4665
0.5000 0.0000 0.0000
0.8701 0.8701 0.5335
0.5000 0.5000 0.0000
0.5000 0.5000 0.5000
0.2094 0.7504 0.2530
0.2203 0.2203 0.2167
0.2496 0.7906 0.7470
0.2827 0.2827 0.8104
0.7173 0.7173 0.1896
0.7504 0.2094 0.2530
0.7797 0.7797 0.7833
0.7906 0.2496 0.7470
```

Top 10 peaks for 2θ = 5–70°, most intense first:
two_theta, I/Imax
42.8, 100
36.2, 69
33.1, 66
33.7, 59
35.5, 57
56.6, 57
34.4, 55
62.7, 45
39.6, 37
30.2, 37